For Rb3ThS4, a structure optimized by DFT (PBE) gives the theoretical powder diffraction line list in this record (copper Kα).

Top 10 peaks for 10° ≤ 2θ ≤ 90°, by angle:
hkl 1 1 0, 11.49°, I 639; hkl 2 2 0, 23.10°, I 580; hkl 0 2 1, 24.55°, I 462; hkl 0 4 0, 27.01°, I 510; hkl 2 0 1, 27.87°, I 1000; hkl 4 0 0, 37.96°, I 190; hkl 2 4 1, 39.20°, I 704; hkl 4 2 1, 45.73°, I 241; hkl 0 4 2, 50.32°, I 214; hkl 2 8 1, 63.36°, I 236

```
data_Rb3ThS4
_space_group_name_H-M_alt 'C m m m'
_space_group_IT_number 65
_space_group_name_Hall '-C 2 2'
_cell_length_a 9.4815
_cell_length_b 13.2062
_cell_length_c 4.3389
_cell_angle_alpha 90.00
_cell_angle_beta 90.00
_cell_angle_gamma 90.00
loop_
_atom_site_label
_atom_site_type_symbol
_atom_site_fract_x
_atom_site_fract_y
_atom_site_fract_z
Rb1 Rb 0.0000 0.0000 0.0000
Rb2 Rb 0.2500 0.2500 0.5000
Th1 Th 0.0000 0.5000 0.0000
S1 S 0.0000 0.2908 0.0000
S2 S 0.1970 0.5000 0.5000
```

For MnNb4S8, a structure optimized by DFT (PBE) gives the theoretical powder diffraction line list in this record (copper Kα).

Top 10 peaks for 10° ≤ 2θ ≤ 90°, by angle:
hkl 0 0 1, 14.83°, I 1000; hkl 1 1 -1, 16.74°, I 162; hkl 2 2 -1, 30.00°, I 311; hkl 4 0 -1, 33.54°, I 390; hkl 2 2 -2, 33.84°, I 783; hkl 2 2 1, 42.50°, I 618; hkl 2 2 -3, 43.24°, I 338; hkl 4 0 -4, 43.87°, I 226; hkl 6 2 -3, 53.76°, I 278; hkl 2 2 2, 55.07°, I 148

```
data_MnNb4S8
_space_group_name_H-M_alt 'C 1 2/m 1'
_space_group_IT_number 12
_space_group_name_Hall '-C 2y'
_cell_length_a 11.7712
_cell_length_b 6.9069
_cell_length_c 8.2554
_cell_angle_alpha 90.00
_cell_angle_beta 133.65
_cell_angle_gamma 90.00
loop_
_atom_site_label
_atom_site_type_symbol
_atom_site_fract_x
_atom_site_fract_y
_atom_site_fract_z
Mn1 Mn 0.0000 0.0000 0.0000
Nb1 Nb 0.0000 0.2897 0.5000
Nb2 Nb 0.2318 0.5000 0.4915
S1 S 0.0275 0.0000 0.7267
S2 S 0.0551 0.5000 0.7868
S3 S 0.2076 0.2503 0.2404
```

For Ac2H2SeI, a structure optimized by DFT (PBE) gives the theoretical powder diffraction line list in this record (copper Kα).

Top 10 peaks for 10° ≤ 2θ ≤ 90°, by angle:
hkl 1 0 1, 25.90°, I 1000; hkl 0 1 2, 30.89°, I 862; hkl 1 0 3, 37.90°, I 233; hkl 1 1 0, 42.25°, I 402; hkl 1 0 4, 46.17°, I 159; hkl 0 2 1, 50.22°, I 172; hkl 2 0 2, 53.25°, I 188; hkl 1 1 4, 58.72°, I 149; hkl 2 1 1, 67.67°, I 144; hkl 1 2 2, 70.21°, I 165

```
data_Ac2H2SeI
_space_group_name_H-M_alt 'P -3 m 1'
_space_group_IT_number 164
_space_group_name_Hall '-P 3 2"'
_cell_length_a 4.2780
_cell_length_b 4.2780
_cell_length_c 9.2780
_cell_angle_alpha 90.00
_cell_angle_beta 90.00
_cell_angle_gamma 120.00
loop_
_atom_site_label
_atom_site_type_symbol
_atom_site_fract_x
_atom_site_fract_y
_atom_site_fract_z
Ac1 Ac 0.3333 0.6667 0.2111
H1 H 0.3333 0.6667 0.7549
Se1 Se 0.0000 0.0000 0.0000
I1 I 0.0000 0.0000 0.5000
```

For Dy4Er2Se9, a structure optimized by DFT (PBE) gives the theoretical powder diffraction line list in this record (copper Kα).

Top 10 peaks for 10° ≤ 2θ ≤ 90°, by angle:
hkl 1 1 2, 16.93°, I 422; hkl 1 1 -4, 23.23°, I 557; hkl 2 1 0, 24.81°, I 402; hkl 2 1 3, 28.43°, I 549; hkl 0 2 -4, 34.25°, I 353; hkl 1 2 6, 37.40°, I 1000; hkl 3 1 4, 42.75°, I 324; hkl 3 3 0, 43.68°, I 610; hkl 2 4 6, 58.83°, I 257; hkl 4 5 6, 76.07°, I 222

```
data_Dy4Er2Se9
_space_group_name_H-M_alt 'P -1'
_space_group_IT_number 2
_space_group_name_Hall '-P 1'
_cell_length_a 7.1763
_cell_length_b 7.1780
_cell_length_c 19.4363
_cell_angle_alpha 89.99
_cell_angle_beta 89.98
_cell_angle_gamma 60.03
loop_
_atom_site_label
_atom_site_type_symbol
_atom_site_fract_x
_atom_site_fract_y
_atom_site_fract_z
Dy1 Dy 0.1657 0.1669 0.1809
Dy2 Dy 0.1662 0.1667 0.9854
Dy3 Dy 0.1670 0.1665 0.4850
Dy4 Dy 0.1677 0.1663 0.6811
Er1 Er 0.4989 0.5014 0.1530
Er2 Er 0.4998 0.4990 0.3473
Se1 Se 0.1403 0.5293 0.4167
Se2 Se 0.1424 0.8296 0.9166
Se3 Se 0.1692 0.4721 0.0834
Se4 Se 0.1699 0.8594 0.5833
Se5 Se 0.1962 0.8041 0.2503
Se6 Se 0.1968 0.5002 0.7499
Se7 Se 0.4708 0.1713 0.5831
Se8 Se 0.4712 0.8591 0.0831
Se9 Se 0.4989 0.1967 0.2499
```

For Ce2SmC2I2, a structure optimized by DFT (PBE) gives the theoretical powder diffraction line list in this record (copper Kα).

Top 10 peaks for 10° ≤ 2θ ≤ 90°, by angle:
hkl 1 1 0, 27.26°, I 1000; hkl 1 0 5, 30.87°, I 954; hkl 2 0 0, 38.93°, I 438; hkl 1 0 7, 39.13°, I 406; hkl 2 1 5, 50.49°, I 479; hkl 2 2 0, 56.24°, I 148; hkl 2 1 7, 56.39°, I 279; hkl 3 1 0, 63.59°, I 185; hkl 1 1 12, 66.87°, I 140; hkl 3 2 5, 78.93°, I 129

```
data_Ce2SmC2I2
_space_group_name_H-M_alt 'I 4/m m m'
_space_group_IT_number 139
_space_group_name_Hall '-I 4 2'
_cell_length_a 4.6267
_cell_length_b 4.6267
_cell_length_c 18.5747
_cell_angle_alpha 90.00
_cell_angle_beta 90.00
_cell_angle_gamma 90.00
loop_
_atom_site_label
_atom_site_type_symbol
_atom_site_fract_x
_atom_site_fract_y
_atom_site_fract_z
Ce1 Ce 0.0000 0.0000 0.0788
Sm1 Sm 0.0000 0.0000 0.5000
C1 C 0.0000 0.5000 0.0000
I1 I 0.0000 0.0000 0.3274
```

For Ce3PmTl3, a structure optimized by DFT (PBE) gives the theoretical powder diffraction line list in this record (copper Kα).

Top 10 peaks for 10° ≤ 2θ ≤ 90°, by angle:
hkl 2 1 0, 28.35°, I 243; hkl 2 1 1, 33.44°, I 1000; hkl 0 0 2, 35.15°, I 217; hkl 2 1 2, 45.75°, I 133; hkl 1 4 0, 50.20°, I 157; hkl 4 2 1, 61.66°, I 102; hkl 2 1 3, 61.98°, I 172; hkl 1 4 2, 62.75°, I 162; hkl 6 0 1, 70.26°, I 69; hkl 3 5 1, 83.40°, I 75

```
data_Ce3PmTl3
_space_group_name_H-M_alt 'P 63/m'
_space_group_IT_number 176
_space_group_name_Hall '-P 6c'
_cell_length_a 9.6173
_cell_length_b 9.6173
_cell_length_c 5.1066
_cell_angle_alpha 90.00
_cell_angle_beta 90.00
_cell_angle_gamma 120.00
loop_
_atom_site_label
_atom_site_type_symbol
_atom_site_fract_x
_atom_site_fract_y
_atom_site_fract_z
Ce1 Ce 0.0026 0.2246 0.2500
Pm1 Pm 0.3333 0.6667 0.2500
Tl1 Tl 0.0714 0.4565 0.7500
```

For Pm3AuO7, a structure optimized by DFT (PBE) gives the theoretical powder diffraction line list in this record (copper Kα).

Top 10 peaks for 10° ≤ 2θ ≤ 90°, by angle:
hkl 2 2 0, 28.34°, I 1000; hkl 0 2 2, 28.54°, I 967; hkl 2 0 2, 32.95°, I 694; hkl 4 0 0, 47.03°, I 148; hkl 2 4 2, 47.30°, I 591; hkl 0 0 4, 47.54°, I 163; hkl 4 2 2, 55.93°, I 282; hkl 2 6 0, 56.07°, I 128; hkl 2 2 4, 56.25°, I 424; hkl 4 4 4, 78.73°, I 160

```
data_Pm3AuO7
_space_group_name_H-M_alt 'C m c m'
_space_group_IT_number 63
_space_group_name_Hall '-C 2c 2'
_cell_length_a 7.7294
_cell_length_b 10.8680
_cell_length_c 7.6506
_cell_angle_alpha 90.00
_cell_angle_beta 90.00
_cell_angle_gamma 90.00
loop_
_atom_site_label
_atom_site_type_symbol
_atom_site_fract_x
_atom_site_fract_y
_atom_site_fract_z
Pm1 Pm 0.0000 0.0000 0.0000
Pm2 Pm 0.2366 0.2657 0.2500
Au1 Au 0.0000 0.5000 0.0000
O1 O 0.0000 0.1314 0.7500
O2 O 0.0000 0.1367 0.2500
O3 O 0.0000 0.4262 0.2500
O4 O 0.2007 0.3776 0.5243
```